Starting from a structure optimized by DFT (PBE), the powder diffraction line list of Y2Ho13 was computed for a wavelength of 1.5418 Å.

Structural model:
```
Y2Ho13
1.0
6.5613 0.0000 0.0000
1.3281 8.8038 0.0000
1.3193 3.4764 8.0914
Y Ho
2 13
direct
0.0929 0.4189 0.2856
0.9071 0.5811 0.7144
0.0000 0.0000 0.5000
0.1053 0.7497 0.9488
0.1971 0.1975 0.7034
0.2899 0.9806 0.1254
0.3151 0.6436 0.4505
0.3982 0.4009 0.9003
0.4866 0.8363 0.6693
0.5134 0.1637 0.3307
0.6018 0.5991 0.0997
0.6849 0.3564 0.5495
0.7101 0.0194 0.8746
0.8029 0.8025 0.2966
0.8947 0.2503 0.0512
```

Largest 8 diffraction maxima, low angle first, 10° ≤ 2θ ≤ 90°:
(hkl)	Position (°2θ)	I/Imax
0 2 3	31.75	100
1 -2 1	32.05	69
-2 1 1	32.19	35
1 0 4	45.71	19
-1 4 2	45.84	17
3 3 -1	56.90	14
0 3 -3	57.02	19
4 3 3	63.08	25